Entry 1:
Theoretical powder diffraction line list of Cs2BaBe2Se4 for CuKα, from the GGA-PBE geometry in Alexandria.

The 10 most intense peaks (2θ = 10–80°), in order of falling intensity:
| index | two_theta | intensity |
| --- | --- | --- |
| 1 1 -2 | 29.14 | 100 |
| 5 1 -1 | 34.11 | 52 |
| 4 0 1 | 29.78 | 40 |
| 3 1 3 | 49.10 | 21 |
| 6 0 -3 | 36.75 | 21 |
| 2 0 -4 | 40.53 | 19 |
| 3 1 0 | 27.46 | 18 |
| 0 2 0 | 42.81 | 18 |
| 4 0 -2 | 24.27 | 15 |
| 4 2 1 | 53.01 | 15 |

```
data_Cs2BaBe2Se4
_chemical_formula_sum 'Cs4 Ba2 Be4 Se8'
_space_group_name_H-M_alt 'C 1 2/m 1'
_space_group_IT_number 12
_cell_length_a 16.8138
_cell_length_b 4.2251
_cell_length_c 9.0332
_cell_angle_alpha 90.00
_cell_angle_beta 115.06
_cell_angle_gamma 90.00
loop_
_space_group_symop_operation_xyz
'x,y,z'
'-x,-y,-z'
'-x,y,-z'
'x,-y,z'
'x+1/2,y+1/2,z'
'-x+1/2,-y+1/2,-z'
'-x+1/2,y+1/2,-z'
'x+1/2,-y+1/2,z'
loop_
_atom_site_label
_atom_site_fract_x
_atom_site_fract_y
_atom_site_fract_z
Cs1 0.1298 0.0000 0.0624
Ba1 0.0000 0.0000 0.5000
Be1 0.1746 0.5000 0.4555
Se1 0.0383 0.5000 0.2687
Se2 0.2121 0.0000 0.6181
```

Entry 2:
Theoretical powder diffraction line list of ThGa2IrRu for CuKα, from the GGA-PBE geometry in Alexandria.

The 10 most intense peaks (2θ = 10–80°), in order of falling intensity:
| index | two_theta | intensity |
| --- | --- | --- |
| 1 1 2 | 34.38 | 100 |
| 2 0 0 | 41.39 | 35 |
| 3 1 2 | 70.98 | 22 |
| 2 1 3 | 54.85 | 17 |
| 1 0 1 | 22.31 | 17 |
| 1 1 6 | 64.75 | 13 |
| 2 2 0 | 59.96 | 12 |
| 1 1 4 | 47.50 | 10 |
| 1 0 5 | 51.23 | 9 |
| 2 0 4 | 56.57 | 9 |

```
data_ThGa2IrRu
_chemical_formula_sum 'Th2 Ga4 Ir2 Ru2'
_space_group_name_H-M_alt 'I -4 m 2'
_space_group_IT_number 119
_space_group_name_Hall 'I -4 -2'
_cell_length_a 4.3634
_cell_length_b 4.3634
_cell_length_c 9.7683
_cell_angle_alpha 90.00
_cell_angle_beta 90.00
_cell_angle_gamma 90.00
loop_
_atom_site_label
_atom_site_fract_x
_atom_site_fract_y
_atom_site_fract_z
Th1 0.0000 0.0000 0.0000
Ga1 0.0000 0.0000 0.3718
Ir1 0.0000 0.5000 0.2500
Ru1 0.0000 0.5000 0.7500
```

Entry 3:
Theoretical powder diffraction line list of BaCeTl for CuKα, from the GGA-PBE geometry in Alexandria.

The 10 most intense peaks (2θ = 10–80°), in order of falling intensity:
| index | two_theta | intensity |
| --- | --- | --- |
| 1 1 2 | 31.94 | 100 |
| 2 0 0 | 35.59 | 63 |
| 1 1 1 | 26.86 | 51 |
| 1 0 3 | 34.65 | 40 |
| 1 0 2 | 26.46 | 33 |
| 0 0 5 | 50.50 | 31 |
| 3 1 2 | 61.64 | 31 |
| 1 1 0 | 24.96 | 26 |
| 2 2 0 | 51.21 | 23 |
| 1 0 1 | 20.15 | 21 |

```
data_BaCeTl
_chemical_formula_sum 'Ba2 Ce2 Tl2'
_space_group_name_H-M_alt 'P 4/n m m'
_space_group_IT_number 129
_cell_length_a 5.0454
_cell_length_b 5.0454
_cell_length_c 9.0496
_cell_angle_alpha 90.00
_cell_angle_beta 90.00
_cell_angle_gamma 90.00
loop_
_space_group_symop_operation_xyz
'x,y,z'
'-x,-y,-z'
'-y+1/2,x,z'
'y+1/2,-x,-z'
'-x+1/2,-y+1/2,z'
'x+1/2,y+1/2,-z'
'y,-x+1/2,z'
'-y,x+1/2,-z'
'x+1/2,-y,-z'
'-x+1/2,y,z'
'-y,-x,-z'
'y,x,z'
'-x,y+1/2,-z'
'x,-y+1/2,z'
'y+1/2,x+1/2,-z'
'-y+1/2,-x+1/2,z'
loop_
_atom_site_label
_atom_site_fract_x
_atom_site_fract_y
_atom_site_fract_z
Ba1 0.2500 0.2500 0.1410
Ce1 0.2500 0.7500 0.5000
Tl1 0.2500 0.2500 0.7367
```